Entry 1:
The following is a theoretical X-ray diffraction stick pattern of AlTlSiO4. It was derived from a GGA-PBE-relaxed structure, using a wavelength of 1.5418 Å.

Crystal structure
a b c (Å): 9.128 5.580 7.368
angles (deg): 90.00 90.00 90.00
Positions (direct):
Al: 0.068 0.250 0.001
Al: 0.432 0.750 0.501
Al: 0.568 0.250 0.499
Al: 0.932 0.750 0.999
Tl: 0.248 0.250 0.374
Tl: 0.252 0.750 0.874
Tl: 0.748 0.250 0.126
Tl: 0.752 0.750 0.626
Si: 0.087 0.750 0.313
Si: 0.413 0.250 0.813
Si: 0.587 0.750 0.187
Si: 0.913 0.250 0.687
O: 0.037 0.250 0.541
O: 0.058 0.531 0.148
O: 0.058 0.969 0.148
O: 0.244 0.250 0.892
O: 0.256 0.750 0.392
O: 0.442 0.031 0.648
O: 0.442 0.469 0.648
O: 0.463 0.750 0.041
O: 0.537 0.250 0.959
O: 0.558 0.531 0.352
O: 0.558 0.969 0.352
O: 0.744 0.250 0.608
O: 0.756 0.750 0.108
O: 0.942 0.031 0.852
O: 0.942 0.469 0.852
O: 0.963 0.750 0.459

Main lines, in order of falling intensity (2θ from 10° to 90°):
2θ = 26.1°, intensity 1000; 2θ = 28.0°, intensity 845; 2θ = 22.2°, intensity 826; 2θ = 41.8°, intensity 693; 2θ = 35.8°, intensity 446; 2θ = 32.1°, intensity 433; 2θ = 19.4°, intensity 429; 2θ = 38.4°, intensity 418; 2θ = 20.0°, intensity 344; 2θ = 37.8°, intensity 312


Entry 2:
The following is a theoretical X-ray diffraction stick pattern of AlTlSiO4. It was derived from a GGA-PBE-relaxed structure, using a wavelength of 1.5418 Å.

Crystal structure
a b c (Å): 9.072 9.072 9.072
angles (deg): 90.56 90.56 90.56
Positions (direct):
Al: 0.000 0.247 0.753
Al: 0.247 0.753 0.000
Al: 0.253 0.747 0.500
Al: 0.500 0.253 0.747
Al: 0.747 0.500 0.253
Al: 0.753 0.000 0.247
Tl: 0.103 0.401 0.104
Tl: 0.104 0.103 0.401
Tl: 0.401 0.104 0.103
Tl: 0.603 0.604 0.901
Tl: 0.604 0.901 0.603
Tl: 0.901 0.603 0.604
Si: 0.000 0.752 0.250
Si: 0.250 0.000 0.752
Si: 0.252 0.500 0.750
Si: 0.500 0.750 0.252
Si: 0.750 0.252 0.500
Si: 0.752 0.250 0.000
O: 0.102 0.807 0.392
O: 0.103 0.691 0.114
O: 0.110 0.401 0.807
O: 0.114 0.103 0.691
O: 0.191 0.603 0.614
O: 0.199 0.902 0.891
O: 0.307 0.602 0.892
O: 0.307 0.901 0.610
O: 0.391 0.402 0.699
O: 0.392 0.102 0.807
O: 0.401 0.807 0.110
O: 0.402 0.699 0.391
O: 0.602 0.892 0.307
O: 0.603 0.614 0.191
O: 0.610 0.307 0.901
O: 0.614 0.191 0.603
O: 0.691 0.114 0.103
O: 0.699 0.391 0.402
O: 0.807 0.110 0.401
O: 0.807 0.392 0.102
O: 0.891 0.199 0.902
O: 0.892 0.307 0.602
O: 0.901 0.610 0.307
O: 0.902 0.891 0.199

Main lines, in order of falling intensity (2θ from 10° to 90°):
2θ = 23.9°, intensity 1000; 2θ = 13.9°, intensity 588; 2θ = 31.1°, intensity 493; 2θ = 24.2°, intensity 369; 2θ = 42.5°, intensity 345; 2θ = 37.1°, intensity 296; 2θ = 31.3°, intensity 267; 2θ = 42.1°, intensity 172; 2θ = 19.6°, intensity 150; 2θ = 51.1°, intensity 149


Entry 3:
The following is a theoretical X-ray diffraction stick pattern of AlTlSiO4. It was derived from a GGA-PBE-relaxed structure, using a wavelength of 1.5418 Å.

Crystal structure
a b c (Å): 8.352 5.464 9.603
angles (deg): 90.00 90.00 90.00
Positions (direct):
Al: 0.193 0.250 0.084
Al: 0.307 0.750 0.584
Al: 0.693 0.250 0.416
Al: 0.807 0.750 0.916
Tl: 0.002 0.750 0.317
Tl: 0.498 0.250 0.817
Tl: 0.502 0.750 0.183
Tl: 0.998 0.250 0.683
Si: 0.204 0.750 0.923
Si: 0.296 0.250 0.423
Si: 0.704 0.750 0.577
Si: 0.796 0.250 0.077
O: 0.013 0.750 0.937
O: 0.217 0.009 0.503
O: 0.217 0.491 0.503
O: 0.241 0.250 0.260
O: 0.259 0.750 0.760
O: 0.283 0.509 0.003
O: 0.283 0.991 0.003
O: 0.487 0.250 0.437
O: 0.513 0.750 0.563
O: 0.717 0.009 0.997
O: 0.717 0.491 0.997
O: 0.741 0.250 0.240
O: 0.759 0.750 0.740
O: 0.783 0.509 0.497
O: 0.783 0.991 0.497
O: 0.987 0.250 0.063

Main lines, in order of falling intensity (2θ from 10° to 90°):
2θ = 28.5°, intensity 1000; 2θ = 26.9°, intensity 777; 2θ = 18.7°, intensity 476; 2θ = 29.9°, intensity 346; 2θ = 28.3°, intensity 281; 2θ = 45.0°, intensity 262; 2θ = 32.8°, intensity 247; 2θ = 42.5°, intensity 208; 2θ = 53.1°, intensity 199; 2θ = 14.1°, intensity 166


Entry 4:
The following is a theoretical X-ray diffraction stick pattern of AlTlSiO4. It was derived from a GGA-PBE-relaxed structure, using a wavelength of 1.5418 Å.

Crystal structure
a b c (Å): 5.257 13.063 8.885
angles (deg): 90.00 123.21 90.00
Positions (direct):
Al: 0.230 0.037 0.479
Al: 0.230 0.463 0.979
Al: 0.770 0.537 0.021
Al: 0.770 0.963 0.521
Tl: 0.256 0.243 0.487
Tl: 0.256 0.257 0.987
Tl: 0.744 0.743 0.013
Tl: 0.744 0.757 0.513
Si: 0.490 0.087 0.232
Si: 0.490 0.413 0.732
Si: 0.510 0.587 0.268
Si: 0.510 0.913 0.768
O: 0.177 0.519 0.158
O: 0.177 0.981 0.658
O: 0.292 0.090 0.016
O: 0.292 0.410 0.516
O: 0.367 0.010 0.337
O: 0.367 0.490 0.837
O: 0.449 0.703 0.188
O: 0.449 0.797 0.688
O: 0.551 0.203 0.312
O: 0.551 0.297 0.812
O: 0.633 0.510 0.163
O: 0.633 0.990 0.663
O: 0.708 0.590 0.484
O: 0.708 0.910 0.984
O: 0.823 0.019 0.342
O: 0.823 0.481 0.842

Main lines, in order of falling intensity (2θ from 10° to 90°):
2θ = 21.3°, intensity 1000; 2θ = 22.3°, intensity 873; 2θ = 13.6°, intensity 505; 2θ = 27.6°, intensity 404; 2θ = 27.3°, intensity 313; 2θ = 23.9°, intensity 290; 2θ = 28.9°, intensity 280; 2θ = 36.6°, intensity 227; 2θ = 40.1°, intensity 226; 2θ = 40.0°, intensity 225


Entry 5:
The following is a theoretical X-ray diffraction stick pattern of SmAlO3. It was derived from a GGA-PBE-relaxed structure, using a wavelength of 1.5418 Å.

Crystal structure
a b c (Å): 5.356 7.542 5.322
angles (deg): 90.00 90.00 90.00
Positions (direct):
Sm: 0.034 0.250 0.008
Sm: 0.466 0.750 0.508
Sm: 0.534 0.250 0.492
Sm: 0.966 0.750 0.992
Al: 0.000 0.000 0.500
Al: 0.000 0.500 0.500
Al: 0.500 0.000 0.000
Al: 0.500 0.500 0.000
O: 0.013 0.750 0.429
O: 0.219 0.538 0.780
O: 0.219 0.962 0.780
O: 0.281 0.038 0.280
O: 0.281 0.462 0.280
O: 0.487 0.250 0.929
O: 0.513 0.750 0.071
O: 0.719 0.538 0.720
O: 0.719 0.962 0.720
O: 0.781 0.038 0.220
O: 0.781 0.462 0.220
O: 0.987 0.250 0.571

Main lines, in order of falling intensity (2θ from 10° to 90°):
2θ = 33.6°, intensity 1000; 2θ = 23.6°, intensity 661; 2θ = 48.2°, intensity 357; 2θ = 60.2°, intensity 266; 2θ = 41.5°, intensity 228; 2θ = 41.4°, intensity 210; 2θ = 33.5°, intensity 182; 2θ = 54.4°, intensity 173; 2θ = 70.6°, intensity 124; 2θ = 80.5°, intensity 119


Entry 6:
The following is a theoretical X-ray diffraction stick pattern of SmAlO3. It was derived from a GGA-PBE-relaxed structure, using a wavelength of 1.5418 Å.

Crystal structure
a b c (Å): 5.313 7.531 5.358
angles (deg): 90.00 90.00 90.00
Positions (direct):
Sm: 0.008 0.250 0.007
Sm: 0.492 0.750 0.507
Sm: 0.508 0.250 0.493
Sm: 0.992 0.750 0.993
Al: 0.000 0.000 0.500
Al: 0.000 0.500 0.500
Al: 0.500 0.000 0.000
Al: 0.500 0.500 0.000
O: 0.003 0.750 0.430
O: 0.242 0.538 0.758
O: 0.242 0.962 0.758
O: 0.258 0.038 0.258
O: 0.258 0.462 0.258
O: 0.497 0.250 0.930
O: 0.503 0.750 0.070
O: 0.742 0.538 0.742
O: 0.742 0.962 0.742
O: 0.758 0.038 0.242
O: 0.758 0.462 0.242
O: 0.997 0.250 0.570

Main lines, in order of falling intensity (2θ from 10° to 90°):
2θ = 33.6°, intensity 1000; 2θ = 23.6°, intensity 799; 2θ = 48.3°, intensity 471; 2θ = 60.3°, intensity 298; 2θ = 41.6°, intensity 295; 2θ = 41.4°, intensity 281; 2θ = 33.7°, intensity 242; 2θ = 33.4°, intensity 230; 2θ = 54.4°, intensity 230; 2θ = 59.9°, intensity 216


Entry 7:
The following is a theoretical X-ray diffraction stick pattern of SrSmAl3O7. It was derived from a GGA-PBE-relaxed structure, using a wavelength of 1.5418 Å.

Crystal structure
a b c (Å): 7.892 7.892 5.214
angles (deg): 90.00 90.00 90.60
Positions (direct):
Sr: 0.162 0.838 0.000
Sr: 0.838 0.162 0.000
Sm: 0.338 0.338 0.976
Sm: 0.662 0.662 0.976
Al: 0.000 0.500 0.494
Al: 0.147 0.147 0.530
Al: 0.360 0.640 0.449
Al: 0.500 0.000 0.494
Al: 0.640 0.360 0.449
Al: 0.853 0.853 0.530
O: 0.000 0.000 0.651
O: 0.095 0.341 0.689
O: 0.156 0.156 0.196
O: 0.166 0.581 0.302
O: 0.341 0.095 0.689
O: 0.372 0.628 0.785
O: 0.419 0.834 0.302
O: 0.500 0.500 0.290
O: 0.581 0.166 0.302
O: 0.628 0.372 0.785
O: 0.659 0.905 0.689
O: 0.834 0.419 0.302
O: 0.844 0.844 0.196
O: 0.905 0.659 0.689

Main lines, in order of falling intensity (2θ from 10° to 90°):
2θ = 30.7°, intensity 1000; 2θ = 30.5°, intensity 833; 2θ = 28.4°, intensity 399; 2θ = 50.7°, intensity 346; 2θ = 17.0°, intensity 336; 2θ = 23.3°, intensity 317; 2θ = 15.8°, intensity 286; 2θ = 43.2°, intensity 267; 2θ = 25.3°, intensity 202; 2θ = 43.1°, intensity 175